Record 1
# Ce3Pt2
Theoretical XRD peak list, λ = 1.5418 Å (Cu Kα). Input: the GGA-PBE geometry in the Materials Project.
Intensities are scaled so that the largest is 100.

```
Ce3Pt2
1.0
4.479 2.586 5.546
-4.479 2.586 5.546
0.000 -5.172 5.546
Ce Pt
9 6
direct
0.000 0.000 0.000
0.167 0.389 0.661
0.207 0.207 0.207
0.339 0.833 0.611
0.389 0.661 0.167
0.611 0.339 0.833
0.661 0.167 0.389
0.793 0.793 0.793
0.833 0.611 0.339
0.045 0.841 0.406
0.159 0.594 0.955
0.406 0.045 0.841
0.594 0.955 0.159
0.841 0.406 0.045
0.955 0.159 0.594
```

Top 10 peaks for 2θ = 15–90°, by intensity:
two_theta	I/Imax
32.35	100.0
37.53	48.3
38.17	43.7
34.69	41.6
30.97	24.7
52.57	15.6
42.36	14.8
50.52	13.3
54.06	13.2
19.82	12.1

---

Record 2
# SrTm2S4
Theoretical XRD peak list, λ = 1.5418 Å (Cu Kα). Input: the GGA-PBE geometry in the Materials Project.
Intensities are scaled so that the largest is 100.

```
SrTm2S4
1.0
12.010 0.000 0.000
0.000 3.944 0.000
0.000 0.000 14.199
Sr Tm S
4 8 16
direct
0.239 0.250 0.165
0.261 0.750 0.665
0.739 0.250 0.335
0.761 0.750 0.835
0.062 0.250 0.390
0.083 0.250 0.901
0.417 0.750 0.401
0.438 0.750 0.890
0.562 0.250 0.110
0.583 0.250 0.599
0.917 0.750 0.099
0.938 0.750 0.610
0.027 0.750 0.784
0.089 0.250 0.577
0.127 0.750 0.029
0.204 0.750 0.333
0.296 0.250 0.833
0.373 0.250 0.529
0.411 0.750 0.077
0.473 0.250 0.284
0.527 0.750 0.716
0.589 0.250 0.923
0.627 0.750 0.471
0.704 0.750 0.167
0.796 0.250 0.667
0.873 0.250 0.971
0.911 0.750 0.423
0.973 0.250 0.216
```

Top 10 peaks for 2θ = 15–90°, by intensity:
two_theta	I/Imax
25.54	100.0
26.90	94.6
37.22	55.6
46.03	48.4
25.09	46.5
27.05	44.2
37.65	34.6
45.78	34.3
45.32	34.1
53.37	27.7